The following is a calculated X-ray diffraction stick pattern of Ni2HPd8. It was derived from a cell relaxed with PBE, using Cu Kα X-rays.
Peak positions follow from Bragg's law for the DFT cell and can differ from measured ones.

Top 12 peaks for 2θ = 5–70°, by angle:
2theta	I/Imax
21.72	2
25.98	2
30.29	1
32.75	3
39.72	100
39.91	99
46.02	33
46.44	62
53.41	1
67.34	10
67.49	38
68.04	9

Structure:
```
Ni2HPd8
1.0
4.7901 0.0000 0.0000
-1.5585 5.3264 0.0000
-0.7630 -1.6832 5.9111
Ni H Pd
2 1 8
Cartesian
0.0000 0.0000 0.0000
0.7626 0.1766 4.7376
2.4108 3.5311 2.6310
3.2672 0.9088 5.9078
-0.0120 1.3973 2.3710
-0.7183 4.1352 2.3314
-0.0472 2.9106 4.7252
2.3890 0.7133 1.1029
1.6335 3.3715 1.0441
2.3337 2.0659 3.6430
3.1775 -0.5095 3.6398
```